(1)
# Ho6SnSb5
Computed X-ray powder pattern, Cu Kα, 1.54184 Å. Input: a crystal structure in Alexandria, relaxed with GGA-PBE.

Crystal structure
```
data_Ho6SnSb5
_cell_length_a 7.563
_cell_length_b 13.123
_cell_length_c 7.569
_cell_angle_alpha 90.00
_cell_angle_beta 109.53
_cell_angle_gamma 90.00
_space_group_name_H-M_alt 'C 1 2/m 1'
_space_group_IT_number 12
loop_
_space_group_symop_operation_xyz
'x,y,z'
'-x,-y,-z'
'-x,y,-z'
'x,-y,z'
'x+1/2,y+1/2,z'
'-x+1/2,-y+1/2,-z'
'-x+1/2,y+1/2,-z'
'x+1/2,-y+1/2,z'
loop_
_atom_site_label
_atom_site_type_symbol
_atom_site_fract_x
_atom_site_fract_y
_atom_site_fract_z
Ho1 Ho 0.250 0.000 0.250
Ho2 Ho 0.250 0.167 0.749
Sn1 Sn 0.000 0.000 0.500
Sb1 Sb 0.000 0.167 0.000
Sb2 Sb 0.000 0.334 0.500
Sb3 Sb 0.000 0.500 0.000
```

Peak list (10 most intense, 2θ = 15–90°, low angle first)
2θ (°)  d (Å)  Rel. int.  (hkl)
28.9  3.090  100.0  1 3 1
41.3  2.185  76.3  2 0 2
51.2  1.784  27.3  4 0 0
59.9  1.545  12.8  2 6 2
67.8  1.382  29.3  4 6 0
67.9  1.381  5.8  3 3 3
75.3  1.262  15.2  4 6 -4
75.4  1.261  10.8  5 3 1
89.7  1.093  4.4  0 12 0
89.8  1.092  4.4  4 0 4

=====

(2)
# Ho5Sn2Sb2
Computed X-ray powder pattern, Cu Kα, 1.54184 Å. Input: a crystal structure in Alexandria, relaxed with GGA-PBE.

Crystal structure
```
data_Ho5Sn2Sb2
_cell_length_a 15.347
_cell_length_b 8.094
_cell_length_c 8.127
_cell_angle_alpha 90.00
_cell_angle_beta 90.00
_cell_angle_gamma 90.00
_space_group_name_H-M_alt 'C m c e'
_space_group_IT_number 64
_space_group_name_Hall '-C 2ac 2'
loop_
_atom_site_label
_atom_site_type_symbol
_atom_site_fract_x
_atom_site_fract_y
_atom_site_fract_z
Ho1 Ho 0.000 0.000 0.000
Ho2 Ho 0.135 0.166 0.337
Sn1 Sn 0.000 0.137 0.636
Sb1 Sb 0.203 0.000 0.000
```

Peak list (10 most intense, 2θ = 15–90°, low angle first)
2θ (°)  d (Å)  Rel. int.  (hkl)
30.2  2.961  100.0  3 1 2
31.2  2.867  40.6  0 2 2
32.1  2.787  64.7  4 2 0
33.1  2.706  31.6  5 1 1
34.0  2.634  87.8  4 2 1
35.4  2.534  63.4  1 1 3
35.5  2.526  64.2  1 3 1
38.4  2.344  24.8  5 1 2
46.1  1.968  26.6  5 1 3
64.7  1.442  36.1  7 3 3

=====

(3)
# Tb3HoSb4
Computed X-ray powder pattern, Cu Kα, 1.54184 Å. Input: a crystal structure in Alexandria, relaxed with GGA-PBE.

Crystal structure
```
data_Tb3HoSb4
_cell_length_a 6.208
_cell_length_b 6.208
_cell_length_c 6.208
_cell_angle_alpha 90.00
_cell_angle_beta 90.00
_cell_angle_gamma 90.00
_space_group_name_H-M_alt 'P m -3 m'
_space_group_IT_number 221
_space_group_name_Hall '-P 4 2 3'
loop_
_atom_site_label
_atom_site_type_symbol
_atom_site_fract_x
_atom_site_fract_y
_atom_site_fract_z
Tb1 Tb 0.000 0.000 0.500
Ho1 Ho 0.500 0.500 0.500
Sb1 Sb 0.000 0.000 0.000
Sb2 Sb 0.000 0.500 0.500
```

Peak list (10 most intense, 2θ = 15–90°, low angle first)
2θ (°)  d (Å)  Rel. int.  (hkl)
24.8  3.584  3.4  1 1 1
28.8  3.104  100.0  2 0 0
41.1  2.195  76.2  2 2 0
48.6  1.872  1.8  3 1 1
51.0  1.792  27.2  2 2 2
59.6  1.552  12.7  4 0 0
65.5  1.424  0.8  3 3 1
67.5  1.388  34.9  4 2 0
74.9  1.267  25.8  4 2 2
89.3  1.097  8.6  4 4 0

=====

(4)
# TbHo4Sb5
Computed X-ray powder pattern, Cu Kα, 1.54184 Å. Input: a crystal structure in Alexandria, relaxed with GGA-PBE.

Crystal structure
```
data_TbHo4Sb5
_cell_length_a 4.374
_cell_length_b 4.374
_cell_length_c 30.922
_cell_angle_alpha 90.00
_cell_angle_beta 90.00
_cell_angle_gamma 90.00
_space_group_name_H-M_alt 'I 4/m m m'
_space_group_IT_number 139
_space_group_name_Hall '-I 4 2'
loop_
_atom_site_label
_atom_site_type_symbol
_atom_site_fract_x
_atom_site_fract_y
_atom_site_fract_z
Tb1 Tb 0.000 0.000 0.000
Ho1 Ho 0.000 0.000 0.200
Ho2 Ho 0.000 0.000 0.400
Sb1 Sb 0.000 0.000 0.100
Sb2 Sb 0.000 0.000 0.300
Sb3 Sb 0.000 0.000 0.500
```

Peak list (10 most intense, 2θ = 15–90°, low angle first)
2θ (°)  d (Å)  Rel. int.  (hkl)
24.9  3.571  3.8  1 0 5
28.9  3.092  100.0  1 1 0
41.3  2.187  76.1  2 0 0
48.8  1.865  2.1  2 1 5
51.2  1.785  27.2  2 0 10
59.8  1.546  12.7  2 2 0
65.8  1.419  0.9  3 0 5
67.8  1.383  34.8  3 1 0
75.3  1.262  25.8  3 1 10
89.7  1.093  8.6  4 0 0

=====

(5)
# Tb5Ho2Sb5
Computed X-ray powder pattern, Cu Kα, 1.54184 Å. Input: a crystal structure in Alexandria, relaxed with GGA-PBE.

Crystal structure
```
data_Tb5Ho2Sb5
_cell_length_a 14.254
_cell_length_b 4.356
_cell_length_c 12.573
_cell_angle_alpha 90.00
_cell_angle_beta 109.91
_cell_angle_gamma 90.00
_space_group_name_H-M_alt 'C 1 2/m 1'
_space_group_IT_number 12
loop_
_space_group_symop_operation_xyz
'x,y,z'
'-x,-y,-z'
'-x,y,-z'
'x,-y,z'
'x+1/2,y+1/2,z'
'-x+1/2,-y+1/2,-z'
'-x+1/2,y+1/2,-z'
'x+1/2,-y+1/2,z'
loop_
_atom_site_label
_atom_site_type_symbol
_atom_site_fract_x
_atom_site_fract_y
_atom_site_fract_z
Tb1 Tb 0.000 0.000 0.000
Tb2 Tb 0.160 0.000 0.536
Tb3 Tb 0.222 0.000 0.844
Ho1 Ho 0.046 0.500 0.287
Sb1 Sb 0.000 0.500 0.500
Sb2 Sb 0.118 0.500 0.930
Sb3 Sb 0.195 0.000 0.290
```

Peak list (10 most intense, 2θ = 15–90°, low angle first)
2θ (°)  d (Å)  Rel. int.  (hkl)
27.8  3.210  52.8  3 1 -1
28.6  3.126  35.7  2 0 -4
28.6  3.119  54.3  3 1 0
29.0  3.077  79.6  3 1 -2
30.0  2.982  65.9  2 0 3
31.4  2.853  54.2  3 1 1
32.1  2.789  70.9  3 1 -3
39.5  2.283  37.4  5 1 0
41.5  2.176  100.0  0 2 0
42.4  2.129  44.7  5 1 1

=====

(6)
# TbHoTm2Sb4
Computed X-ray powder pattern, Cu Kα, 1.54184 Å. Input: a crystal structure in Alexandria, relaxed with GGA-PBE.

Crystal structure
```
data_TbHoTm2Sb4
_cell_length_a 6.163
_cell_length_b 6.163
_cell_length_c 12.340
_cell_angle_alpha 90.00
_cell_angle_beta 90.00
_cell_angle_gamma 90.00
_space_group_name_H-M_alt 'I 4/m m m'
_space_group_IT_number 139
_space_group_name_Hall '-I 4 2'
loop_
_atom_site_label
_atom_site_type_symbol
_atom_site_fract_x
_atom_site_fract_y
_atom_site_fract_z
Tb1 Tb 0.000 0.000 0.000
Ho1 Ho 0.000 0.000 0.500
Tm1 Tm 0.000 0.500 0.250
Sb1 Sb 0.000 0.000 0.251
Sb2 Sb 0.000 0.500 0.000
```

Peak list (9 most intense, 2θ = 15–90°, low angle first)
2θ (°)  d (Å)  Rel. int.  (hkl)
25.0  3.559  4.2  1 1 2
29.0  3.083  100.0  2 0 0
41.4  2.180  76.1  2 2 0
49.0  1.859  2.3  3 1 2
51.3  1.780  27.1  2 2 4
60.0  1.541  12.7  4 0 0
66.1  1.414  1.0  3 3 2
68.0  1.379  34.8  4 2 0
75.6  1.258  25.8  4 2 4

=====

(7)
# TbY2Ho3Sb6
Computed X-ray powder pattern, Cu Kα, 1.54184 Å. Input: a crystal structure in Alexandria, relaxed with GGA-PBE.

Crystal structure
```
data_TbY2Ho3Sb6
_cell_length_a 19.097
_cell_length_b 4.381
_cell_length_c 8.763
_cell_angle_alpha 90.00
_cell_angle_beta 103.21
_cell_angle_gamma 90.00
_space_group_name_H-M_alt 'C 1 2/m 1'
_space_group_IT_number 12
loop_
_space_group_symop_operation_xyz
'x,y,z'
'-x,-y,-z'
'-x,y,-z'
'x,-y,z'
'x+1/2,y+1/2,z'
'-x+1/2,-y+1/2,-z'
'-x+1/2,y+1/2,-z'
'x+1/2,-y+1/2,z'
loop_
_atom_site_label
_atom_site_type_symbol
_atom_site_fract_x
_atom_site_fract_y
_atom_site_fract_z
Tb1 Tb 0.000 0.000 0.000
Y1 Y 0.167 0.500 0.333
Ho1 Ho 0.000 0.000 0.500
Ho2 Ho 0.167 0.500 0.833
Sb1 Sb 0.000 0.500 0.251
Sb2 Sb 0.166 0.000 0.584
Sb3 Sb 0.167 0.000 0.082
```

Peak list (10 most intense, 2θ = 15–90°, low angle first)
2θ (°)  d (Å)  Rel. int.  (hkl)
23.8  3.737  1.4  1 1 1
24.9  3.577  0.8  4 0 -2
28.8  3.098  100.0  6 0 0
41.2  2.191  75.8  5 1 2
43.2  2.095  0.7  7 1 1
51.1  1.789  27.0  6 2 0
59.7  1.549  12.6  12 0 0
67.6  1.386  34.4  11 1 2
75.1  1.265  25.4  12 2 0
89.5  1.095  8.5  10 2 4

=====

(8)
# Tb2Y3HoSb6
Computed X-ray powder pattern, Cu Kα, 1.54184 Å. Input: a crystal structure in Alexandria, relaxed with GGA-PBE.

Crystal structure
```
data_Tb2Y3HoSb6
_cell_length_a 7.607
_cell_length_b 13.175
_cell_length_c 7.603
_cell_angle_alpha 90.00
_cell_angle_beta 109.46
_cell_angle_gamma 90.00
_space_group_name_H-M_alt 'C 1 2/m 1'
_space_group_IT_number 12
loop_
_space_group_symop_operation_xyz
'x,y,z'
'-x,-y,-z'
'-x,y,-z'
'x,-y,z'
'x+1/2,y+1/2,z'
'-x+1/2,-y+1/2,-z'
'-x+1/2,y+1/2,-z'
'x+1/2,-y+1/2,z'
loop_
_atom_site_label
_atom_site_type_symbol
_atom_site_fract_x
_atom_site_fract_y
_atom_site_fract_z
Tb1 Tb 0.000 0.166 0.000
Y1 Y 0.000 0.000 0.500
Y2 Y 0.000 0.333 0.500
Ho1 Ho 0.000 0.500 0.000
Sb1 Sb 0.248 0.500 0.750
Sb2 Sb 0.249 0.334 0.250
```

Peak list (10 most intense, 2θ = 15–90°, low angle first)
2θ (°)  d (Å)  Rel. int.  (hkl)
23.8  3.745  3.0  1 3 0
28.8  3.105  100.0  1 3 1
31.4  2.849  1.5  2 0 1
41.1  2.196  75.6  2 0 2
43.1  2.100  1.3  3 3 0
50.9  1.793  26.9  4 0 0
59.5  1.553  12.5  2 6 2
67.4  1.389  34.2  4 6 0
74.9  1.268  25.3  5 3 1
89.2  1.098  8.4  4 0 4

=====

(9)
# Ho8Sb2Te
Computed X-ray powder pattern, Cu Kα, 1.54184 Å. Input: a crystal structure in Alexandria, relaxed with GGA-PBE.

Crystal structure
```
data_Ho8Sb2Te
_cell_length_a 17.905
_cell_length_b 4.035
_cell_length_c 9.184
_cell_angle_alpha 90.00
_cell_angle_beta 95.58
_cell_angle_gamma 90.00
_space_group_name_H-M_alt 'C 1 2/m 1'
_space_group_IT_number 12
loop_
_space_group_symop_operation_xyz
'x,y,z'
'-x,-y,-z'
'-x,y,-z'
'x,-y,z'
'x+1/2,y+1/2,z'
'-x+1/2,-y+1/2,-z'
'-x+1/2,y+1/2,-z'
'x+1/2,-y+1/2,z'
loop_
_atom_site_label
_atom_site_type_symbol
_atom_site_fract_x
_atom_site_fract_y
_atom_site_fract_z
Ho1 Ho 0.015 0.000 0.247
Ho2 Ho 0.094 0.500 0.543
Ho3 Ho 0.167 0.500 0.027
Ho4 Ho 0.211 0.000 0.354
Sb1 Sb 0.174 0.000 0.775
Te1 Te 0.000 0.500 0.000
```

Peak list (10 most intense, 2θ = 15–90°, low angle first)
2θ (°)  d (Å)  Rel. int.  (hkl)
29.3  3.046  19.3  4 0 2
29.6  3.015  100.0  1 1 -2
30.7  2.909  28.3  6 0 -1
33.5  2.671  19.8  5 1 0
35.7  2.515  39.9  5 1 1
37.3  2.408  13.2  4 0 3
39.8  2.267  12.7  2 0 -4
44.9  2.018  19.5  0 2 0
49.8  1.830  12.3  7 1 -3
61.6  1.507  11.1  2 2 -4

=====

(10)
# Ho5Sb4Te
Computed X-ray powder pattern, Cu Kα, 1.54184 Å. Input: a crystal structure in Alexandria, relaxed with GGA-PBE.

Crystal structure
```
data_Ho5Sb4Te
_cell_length_a 9.753
_cell_length_b 9.753
_cell_length_c 6.168
_cell_angle_alpha 90.00
_cell_angle_beta 90.00
_cell_angle_gamma 90.00
_space_group_name_H-M_alt 'I 4/m'
_space_group_IT_number 87
_space_group_name_Hall '-I 4'
loop_
_atom_site_label
_atom_site_type_symbol
_atom_site_fract_x
_atom_site_fract_y
_atom_site_fract_z
Ho1 Ho 0.000 0.000 0.000
Ho2 Ho 0.101 0.306 0.500
Sb1 Sb 0.102 0.298 0.000
Te1 Te 0.000 0.000 0.500
```

Peak list (10 most intense, 2θ = 15–90°, low angle first)
2θ (°)  d (Å)  Rel. int.  (hkl)
25.0  3.561  3.9  2 1 1
28.9  3.084  100.0  0 0 2
41.4  2.181  75.9  1 3 2
49.0  1.860  2.0  2 1 3
51.3  1.781  27.0  4 2 2
60.0  1.542  12.6  0 0 4
66.0  1.415  0.9  5 0 3
68.0  1.379  34.5  1 3 4
75.5  1.259  25.5  4 2 4
90.0  1.090  8.5  2 6 4

=====

(11)
# Ho2SbTe
Computed X-ray powder pattern, Cu Kα, 1.54184 Å. Input: a crystal structure in Alexandria, relaxed with GGA-PBE.

Crystal structure
```
data_Ho2SbTe
_cell_length_a 6.147
_cell_length_b 6.148
_cell_length_c 12.364
_cell_angle_alpha 90.00
_cell_angle_beta 90.00
_cell_angle_gamma 90.00
_space_group_name_H-M_alt 'P m n a'
_space_group_IT_number 53
loop_
_space_group_symop_operation_xyz
'x,y,z'
'-x,-y,-z'
'-x+1/2,-y,z+1/2'
'x+1/2,y,-z+1/2'
'x,-y,-z'
'-x,y,z'
'-x+1/2,y,-z+1/2'
'x+1/2,-y,z+1/2'
loop_
_atom_site_label
_atom_site_type_symbol
_atom_site_fract_x
_atom_site_fract_y
_atom_site_fract_z
Ho1 Ho 0.000 0.249 0.119
Ho2 Ho 0.000 0.251 0.631
Sb1 Sb 0.000 0.251 0.875
Te1 Te 0.000 0.249 0.375
```

Peak list (10 most intense, 2θ = 15–90°, low angle first)
2θ (°)  d (Å)  Rel. int.  (hkl)
28.9  3.091  50.2  0 0 4
29.1  3.074  100.0  2 0 0
41.4  2.180  75.7  2 0 4
41.6  2.173  38.0  2 2 0
51.4  1.778  40.4  2 2 4
60.2  1.537  12.7  4 0 0
67.9  1.381  16.9  2 0 8
68.2  1.375  34.6  4 2 0
75.5  1.260  12.4  2 2 8
75.7  1.256  25.5  4 2 4

=====

(12)
# HoThSbTe
Computed X-ray powder pattern, Cu Kα, 1.54184 Å. Input: a crystal structure in Alexandria, relaxed with GGA-PBE.

Crystal structure
```
data_HoThSbTe
_cell_length_a 4.427
_cell_length_b 4.427
_cell_length_c 6.276
_cell_angle_alpha 90.00
_cell_angle_beta 90.00
_cell_angle_gamma 90.00
_space_group_name_H-M_alt 'P 4/m m m'
_space_group_IT_number 123
_space_group_name_Hall '-P 4 2'
loop_
_atom_site_label
_atom_site_type_symbol
_atom_site_fract_x
_atom_site_fract_y
_atom_site_fract_z
Ho1 Ho 0.000 0.000 0.000
Th1 Th 0.500 0.500 0.500
Sb1 Sb 0.500 0.500 0.000
Te1 Te 0.000 0.000 0.500
```

Peak list (10 most intense, 2θ = 15–90°, low angle first)
2θ (°)  d (Å)  Rel. int.  (hkl)
24.6  3.618  9.1  1 0 1
28.5  3.133  100.0  1 1 0
40.7  2.215  77.0  2 0 0
50.5  1.809  27.7  2 0 2
59.0  1.565  8.7  2 2 0
66.7  1.403  12.0  1 1 4
66.8  1.400  23.9  3 1 0
74.1  1.280  8.9  2 0 4
74.2  1.279  17.7  3 1 2
88.2  1.108  5.9  2 2 4

=====

(13)
# HoTh3Sb4
Computed X-ray powder pattern, Cu Kα, 1.54184 Å. Input: a crystal structure in Alexandria, relaxed with GGA-PBE.

Crystal structure
```
data_HoTh3Sb4
_cell_length_a 7.754
_cell_length_b 8.918
_cell_length_c 7.762
_cell_angle_alpha 90.00
_cell_angle_beta 109.26
_cell_angle_gamma 90.00
_space_group_name_H-M_alt 'P 1 2/c 1'
_space_group_IT_number 13
loop_
_space_group_symop_operation_xyz
'x,y,z'
'-x,-y,-z'
'-x,y,-z+1/2'
'x,-y,z+1/2'
loop_
_atom_site_label
_atom_site_type_symbol
_atom_site_fract_x
_atom_site_fract_y
_atom_site_fract_z
Ho1 Ho 0.000 0.124 0.250
Th1 Th 0.000 0.375 0.750
Th2 Th 0.500 0.125 0.750
Th3 Th 0.500 0.375 0.250
Sb1 Sb 0.243 0.121 0.001
Sb2 Sb 0.246 0.371 0.496
```

Peak list (10 most intense, 2θ = 15–90°, low angle first)
2θ (°)  d (Å)  Rel. int.  (hkl)
28.2  3.164  100.0  1 2 1
40.2  2.245  13.0  2 0 2
40.3  2.237  51.6  1 2 -3
40.5  2.229  12.8  0 4 0
49.8  1.831  14.1  0 0 4
50.1  1.822  13.8  2 4 -2
58.3  1.582  13.1  2 4 2
66.0  1.415  24.1  0 4 4
73.1  1.295  9.0  1 2 5
73.5  1.289  13.3  4 4 -4